Diffraction record for AcFeF6. The XRD peak list is computed, not measured: it uses a cell relaxed with GGA+U and Cu Kα X-rays.
Lines closer than 0.1° are merged.

Atomic structure:
```
data_AcFeF6
_chemical_formula_sum 'Ac2 Fe2 F12'
_symmetry_space_group_name_H-M 'C 1 m 1'
_symmetry_Int_Tables_number 8
_cell_length_a 8.0909
_cell_length_b 6.9678
_cell_length_c 4.0749
_cell_angle_alpha 90.00
_cell_angle_beta 90.06
_cell_angle_gamma 90.00
loop_
_symmetry_equiv_pos_as_xyz
'x,y,z'
'x,-y,z'
'x+1/2,y+1/2,z'
'x+1/2,-y+1/2,z'
loop_
_atom_site_label
_atom_site_type_symbol
_atom_site_fract_x
_atom_site_fract_y
_atom_site_fract_z
Ac1 Ac 0.0000 0.0000 0.0000
Fe1 Fe 0.0538 0.5000 0.4975
F1 F 0.0096 0.2342 0.5000
F2 F 0.0278 0.5000 0.9991
F3 F 0.2384 0.2045 0.0010
F4 F 0.2815 0.5000 0.5000
```

Largest 6 diffraction maxima, most intense first, 2θ = 15–90°:
| 2theta | I/Imax | hkl |
| --- | --- | --- |
| 27.7 | 100.0 | 1 1 1 |
| 16.8 | 58.9 | 1 1 0 |
| 22.0 | 50.4 | 2 0 0 |
| 40.7 | 44.1 | 2 2 -1 |
| 34.0 | 31.6 | 2 2 0 |
| 42.2 | 29.3 | 3 1 1 |